(1)
For CeSmPt3, a DFT-relaxed cell (GGA-PBE, Alexandria) gives the calculated powder diffraction line list in this record (λ = 1.5418 Å (Cu Kα)).
Lines closer than 0.1° are merged.

Principal peaks in the range 10 to 80 degrees two-theta, most intense first:
- 2θ 34.80, d 2.578, I = 100.0
- 2θ 36.05, d 2.491, I = 52.6
- 2θ 34.14, d 2.626, I = 42.5
- 2θ 36.45, d 2.465, I = 40.4
- 2θ 43.49, d 2.081, I = 29.1
- 2θ 46.82, d 1.941, I = 29.0
- 2θ 39.59, d 2.276, I = 26.9
- 2θ 44.51, d 2.036, I = 23.0
- 2θ 22.91, d 3.881, I = 20.4
- 2θ 60.74, d 1.525, I = 18.5

```
20
Lattice="7.133 0.000 0.000 0.000 7.882 0.000 0.000 0.000 7.762" Properties=species:S:1:pos:R:3 pbc="T T T"
Ce 1.529 1.086 0.000
Ce 2.037 5.027 3.881
Ce 5.095 2.855 3.881
Ce 5.604 6.796 0.000
Sm 1.490 1.087 3.881
Sm 2.077 5.028 0.000
Sm 5.056 2.854 0.000
Sm 5.643 6.795 3.881
Pt 0.000 3.941 1.993
Pt 0.000 3.941 5.770
Pt 0.848 6.746 1.939
Pt 0.848 6.746 5.823
Pt 2.719 2.806 1.942
Pt 2.719 2.806 5.820
Pt 3.566 0.000 1.888
Pt 3.566 0.000 5.874
Pt 4.414 5.076 1.942
Pt 4.414 5.076 5.820
Pt 6.285 1.135 1.939
Pt 6.285 1.135 5.823
```



(2)
For Sr2Li3SnAu12, a DFT-relaxed cell (GGA-PBE, Alexandria) gives the calculated powder diffraction line list in this record (λ = 1.5418 Å (Cu Kα)).
Lines closer than 0.1° are merged.

Principal peaks in the range 10 to 80 degrees two-theta, most intense first:
- 2θ 32.20, d 2.780, I = 100.0
- 2θ 38.96, d 2.312, I = 50.0
- 2θ 19.19, d 4.624, I = 46.9
- 2θ 52.61, d 1.740, I = 28.0
- 2θ 37.41, d 2.404, I = 27.1
- 2θ 46.16, d 1.966, I = 17.7
- 2θ 45.50, d 1.993, I = 16.0
- 2θ 43.43, d 2.083, I = 14.4
- 2θ 60.60, d 1.528, I = 13.5
- 2θ 78.15, d 1.223, I = 13.3

```
18
Lattice="3.479 2.009 9.614 -3.479 2.009 9.614 0.000 -4.018 9.614" Properties=species:S:1:pos:R:3 pbc="T T T"
Sr 0.000 0.000 4.007
Sr 0.000 0.000 24.834
Li -1.740 -1.004 9.614
Li -1.740 1.004 19.227
Li 0.000 2.009 9.614
Sn 0.000 0.000 14.420
Au -1.866 -1.077 12.616
Au 0.000 -2.370 8.394
Au -2.052 1.185 8.394
Au -2.052 -1.185 20.447
Au 0.000 -2.154 16.225
Au -1.866 1.077 16.225
Au 1.866 -1.077 12.616
Au 0.000 2.154 12.616
Au 2.052 1.185 8.393
Au 2.052 -1.185 20.447
Au 0.000 2.370 20.447
Au 1.866 1.077 16.225
```



(3)
For Ga2Ni6H, a DFT-relaxed cell (GGA-PBE, Alexandria) gives the calculated powder diffraction line list in this record (λ = 1.5418 Å (Cu Kα)).
Lines closer than 0.1° are merged.

Principal peaks in the range 10 to 80 degrees two-theta, most intense first:
- 2θ 46.54, d 1.952, I = 100.0
- 2θ 42.34, d 2.135, I = 44.2
- 2θ 43.42, d 2.084, I = 36.4
- 2θ 52.96, d 1.729, I = 22.3
- 2θ 74.40, d 1.275, I = 20.0
- 2θ 70.81, d 1.331, I = 8.8
- 2θ 40.86, d 2.209, I = 8.1
- 2θ 61.14, d 1.516, I = 4.7

```
18
Lattice="5.100 0.000 0.000 -2.550 4.417 0.000 0.000 0.000 8.337" Properties=species:S:1:pos:R:3 pbc="T T T"
Ga 0.000 0.000 0.000
Ga 0.000 0.000 4.168
Ga 0.000 2.945 2.084
Ga 2.550 1.472 6.252
Ni -1.258 2.219 8.324
Ni 0.000 1.474 6.264
Ni -1.274 3.680 6.264
Ni 1.277 0.737 2.095
Ni 1.258 2.219 8.324
Ni 0.000 4.397 8.324
Ni 2.550 0.020 4.156
Ni 1.292 2.199 4.156
Ni 1.274 3.680 6.264
Ni 3.824 0.737 2.095
Ni 2.550 2.943 2.095
Ni 3.808 2.199 4.156
H 0.000 2.945 5.161
H 2.550 1.472 0.992
```



(4)
For Ga, a DFT-relaxed cell (GGA-PBE, Alexandria) gives the calculated powder diffraction line list in this record (λ = 1.5418 Å (Cu Kα)).
Lines closer than 0.1° are merged.

Principal peaks in the range 10 to 80 degrees two-theta, most intense first:
- 2θ 34.44, d 2.604, I = 100.0
- 2θ 37.27, d 2.413, I = 64.4
- 2θ 39.76, d 2.267, I = 57.3
- 2θ 33.69, d 2.661, I = 41.6
- 2θ 46.74, d 1.944, I = 40.6
- 2θ 42.28, d 2.138, I = 39.5
- 2θ 67.86, d 1.381, I = 36.1
- 2θ 39.10, d 2.304, I = 25.4
- 2θ 42.16, d 2.144, I = 25.3
- 2θ 43.65, d 2.074, I = 21.3

```
22
Lattice="4.608 2.661 5.727 -4.608 2.661 5.727 0.000 -5.321 5.727" Properties=species:S:1:pos:R:3 pbc="T T T"
Ga 0.000 0.000 0.000
Ga -2.304 -1.330 5.727
Ga -3.215 -1.856 8.332
Ga 0.000 -2.792 4.637
Ga -2.418 1.396 4.637
Ga 0.000 -3.713 8.848
Ga -3.215 1.856 8.848
Ga 0.000 -1.612 7.278
Ga -1.396 0.806 7.278
Ga -1.396 -0.806 9.902
Ga -2.418 -1.396 12.543
Ga -2.304 1.330 11.453
Ga 0.000 2.660 5.727
Ga 2.418 1.396 4.637
Ga 1.396 0.806 7.278
Ga 1.396 -0.806 9.902
Ga 0.000 1.612 9.902
Ga 3.215 -1.856 8.332
Ga 0.000 3.713 8.332
Ga 2.418 -1.396 12.543
Ga 0.000 2.792 12.543
Ga 3.215 1.856 8.848
```



Repeat the first record exactly.
For CeSmPt3, a DFT-relaxed cell (GGA-PBE, Alexandria) gives the calculated powder diffraction line list in this record (λ = 1.5418 Å (Cu Kα)).
Lines closer than 0.1° are merged.

Principal peaks in the range 10 to 80 degrees two-theta, most intense first:
- 2θ 34.80, d 2.578, I = 100.0
- 2θ 36.05, d 2.491, I = 52.6
- 2θ 34.14, d 2.626, I = 42.5
- 2θ 36.45, d 2.465, I = 40.4
- 2θ 43.49, d 2.081, I = 29.1
- 2θ 46.82, d 1.941, I = 29.0
- 2θ 39.59, d 2.276, I = 26.9
- 2θ 44.51, d 2.036, I = 23.0
- 2θ 22.91, d 3.881, I = 20.4
- 2θ 60.74, d 1.525, I = 18.5

```
20
Lattice="7.133 0.000 0.000 0.000 7.882 0.000 0.000 0.000 7.762" Properties=species:S:1:pos:R:3 pbc="T T T"
Ce 1.529 1.086 0.000
Ce 2.037 5.027 3.881
Ce 5.095 2.855 3.881
Ce 5.604 6.796 0.000
Sm 1.490 1.087 3.881
Sm 2.077 5.028 0.000
Sm 5.056 2.854 0.000
Sm 5.643 6.795 3.881
Pt 0.000 3.941 1.993
Pt 0.000 3.941 5.770
Pt 0.848 6.746 1.939
Pt 0.848 6.746 5.823
Pt 2.719 2.806 1.942
Pt 2.719 2.806 5.820
Pt 3.566 0.000 1.888
Pt 3.566 0.000 5.874
Pt 4.414 5.076 1.942
Pt 4.414 5.076 5.820
Pt 6.285 1.135 1.939
Pt 6.285 1.135 5.823
```